This entry pairs a crystal structure of PaVNiO6 with its theoretical powder diffraction line list. Radiation: CuKα. Structure: the GGA+U geometry in Alexandria.
Intensities are scaled so that the largest is 100.

Largest 12 diffraction maxima, most intense first, 2θ = 10–90°:
| hkl | 2θ/deg | d (Å) | intensity |
| --- | --- | --- | --- |
| 1 0 2 | 28.2 | 3.165 | 100 |
| 1 0 1 | 21.7 | 4.099 | 87 |
| 1 1 0 | 33.3 | 2.689 | 67 |
| 1 1 4 | 54.5 | 1.683 | 55 |
| 1 1 2 | 39.5 | 2.282 | 48 |
| 0 0 2 | 20.6 | 4.315 | 41 |
| 1 0 3 | 36.7 | 2.448 | 31 |
| 2 0 2 | 44.2 | 2.049 | 29 |
| 2 1 2 | 56.5 | 1.630 | 28 |
| 2 0 1 | 40.1 | 2.248 | 26 |
| 3 0 0 | 59.5 | 1.553 | 24 |
| 3 -1 1 | 53.1 | 1.725 | 22 |

Structural model:
Cell lengths 5.3781, 5.3781, 8.6304 Å; angles 90.00, 90.00, 120.00 degrees
Space group P-31c (No. 163)
Symmetry-distinct sites (fractional):
Pa1 0.3333 0.6667 0.2500
V1 0.3333 0.6667 0.7500
Ni1 0.0000 0.0000 0.0000
O1 0.0379 0.3651 0.6307